(1)
The following is a calculated X-ray diffraction stick pattern of NiAg4P6H6O18. It was derived from a crystal structure in the Materials Project, relaxed with PBE+U, using Cu Kα (weighted mean of Kα1 and Kα2).

The 10 most intense peaks (10° ≤ 2θ ≤ 90°), by angle:
2θ (°), d/Å, I/Imax
11.12, 7.958, 64.3
14.68, 6.032, 29.9
21.24, 4.183, 53.1
25.95, 3.433, 100.0
26.70, 3.339, 42.8
29.68, 3.010, 64.3
30.87, 2.896, 30.5
31.20, 2.866, 53.7
34.99, 2.564, 30.9
36.99, 2.430, 35.3

Structural model:
Cell: 6.691 8.048 9.160 Å, 81.59 73.95 89.21°
Fractional coordinates of all 35 atoms:
Ni: 0.000 0.000 0.000
Ag: 0.189 0.390 0.858
Ag: 0.373 0.725 0.425
Ag: 0.627 0.275 0.575
Ag: 0.811 0.610 0.142
P: 0.152 0.268 0.515
P: 0.287 0.444 0.199
P: 0.491 0.143 0.288
P: 0.509 0.857 0.712
P: 0.713 0.556 0.801
P: 0.848 0.732 0.485
H: 0.049 0.909 0.151
H: 0.085 0.010 0.143
H: 0.088 0.183 0.964
H: 0.912 0.817 0.036
H: 0.915 0.990 0.857
H: 0.951 0.091 0.849
O: 0.060 0.791 0.388
O: 0.123 0.393 0.369
O: 0.159 0.488 0.088
O: 0.281 0.118 0.438
O: 0.286 0.352 0.596
O: 0.344 0.760 0.673
O: 0.396 0.268 0.166
O: 0.440 0.574 0.212
O: 0.469 0.022 0.767
O: 0.531 0.978 0.233
O: 0.560 0.426 0.788
O: 0.604 0.732 0.834
O: 0.656 0.240 0.327
O: 0.714 0.648 0.404
O: 0.719 0.882 0.562
O: 0.841 0.512 0.912
O: 0.877 0.607 0.631
O: 0.940 0.209 0.612



(2)
The following is a calculated X-ray diffraction stick pattern of Na2YMoPO8. It was derived from a crystal structure in the Materials Project, relaxed with PBE+U, using Cu Kα (weighted mean of Kα1 and Kα2).

The 10 most intense peaks (10° ≤ 2θ ≤ 90°), by angle:
2θ (°), d/Å, I/Imax
14.47, 6.122, 48.3
17.58, 5.044, 57.0
24.45, 3.640, 48.3
27.15, 3.285, 56.4
27.40, 3.255, 100.0
29.42, 3.036, 41.1
32.13, 2.786, 29.7
32.33, 2.769, 46.3
35.30, 2.543, 35.0
47.69, 1.907, 23.1

Structural model:
Cell: 11.516 11.516 11.516 Å, 144.77 115.77 75.43°
Fractional coordinates of all 52 atoms:
Na: 0.095 0.664 0.453
Na: 0.211 0.164 0.069
Na: 0.289 0.358 0.953
Na: 0.405 0.858 0.569
Na: 0.595 0.142 0.431
Na: 0.711 0.642 0.047
Na: 0.789 0.836 0.931
Na: 0.905 0.336 0.547
Y: 0.178 0.750 0.928
Y: 0.322 0.250 0.572
Y: 0.678 0.750 0.428
Y: 0.822 0.250 0.072
Mo: 0.072 0.822 0.250
Mo: 0.428 0.678 0.750
Mo: 0.572 0.322 0.250
Mo: 0.928 0.178 0.750
P: 0.069 0.250 0.319
P: 0.431 0.750 0.181
P: 0.569 0.250 0.819
P: 0.931 0.750 0.681
O: 0.062 0.331 0.257
O: 0.074 0.831 0.769
O: 0.102 0.192 0.829
O: 0.105 0.669 0.016
O: 0.137 0.727 0.329
O: 0.140 0.416 0.572
O: 0.153 0.088 0.484
O: 0.156 0.084 0.224
O: 0.344 0.568 0.928
O: 0.347 0.831 0.935
O: 0.360 0.932 0.276
O: 0.363 0.692 0.590
O: 0.395 0.412 0.565
O: 0.398 0.227 0.090
O: 0.426 0.195 0.757
O: 0.438 0.695 0.269
O: 0.562 0.305 0.731
O: 0.574 0.805 0.243
O: 0.602 0.773 0.910
O: 0.605 0.588 0.435
O: 0.637 0.308 0.410
O: 0.640 0.068 0.724
O: 0.653 0.169 0.065
O: 0.656 0.432 0.072
O: 0.844 0.916 0.776
O: 0.847 0.912 0.516
O: 0.860 0.584 0.428
O: 0.863 0.273 0.671
O: 0.895 0.331 0.984
O: 0.898 0.808 0.171
O: 0.926 0.169 0.231
O: 0.938 0.669 0.743



(3)
The following is a calculated X-ray diffraction stick pattern of Ti3Fe5O12. It was derived from a crystal structure in the Materials Project, relaxed with PBE+U, using Cu Kα (weighted mean of Kα1 and Kα2).

The 10 most intense peaks (10° ≤ 2θ ≤ 90°), by angle:
2θ (°), d/Å, I/Imax
23.64, 3.764, 45.4
32.31, 2.771, 68.8
32.40, 2.764, 67.6
32.58, 2.749, 66.3
34.95, 2.567, 100.0
35.06, 2.559, 48.5
39.95, 2.257, 27.6
48.37, 1.882, 52.7
48.60, 1.873, 25.9
52.66, 1.738, 37.6

Structural model:
Cell: 5.533 7.578 10.281 Å, 89.95 89.75 83.52°
Fractional coordinates of all 40 atoms:
Ti: 0.202 0.355 0.245
Ti: 0.286 0.143 0.500
Ti: 0.290 0.143 0.995
Ti: 0.710 0.857 0.005
Ti: 0.714 0.857 0.500
Ti: 0.798 0.645 0.755
Fe: 0.205 0.850 0.248
Fe: 0.209 0.350 0.749
Fe: 0.211 0.851 0.751
Fe: 0.289 0.646 0.999
Fe: 0.297 0.643 0.497
Fe: 0.703 0.357 0.503
Fe: 0.711 0.354 0.001
Fe: 0.789 0.149 0.249
Fe: 0.791 0.650 0.251
Fe: 0.795 0.150 0.752
O: 0.008 0.250 0.412
O: 0.016 0.240 0.902
O: 0.137 0.590 0.817
O: 0.153 0.106 0.661
O: 0.161 0.108 0.170
O: 0.163 0.589 0.326
O: 0.345 0.394 0.087
O: 0.349 0.913 0.933
O: 0.352 0.910 0.431
O: 0.353 0.401 0.576
O: 0.483 0.257 0.351
O: 0.484 0.247 0.851
O: 0.516 0.753 0.149
O: 0.517 0.743 0.649
O: 0.647 0.599 0.424
O: 0.648 0.090 0.569
O: 0.651 0.087 0.067
O: 0.655 0.606 0.913
O: 0.837 0.411 0.674
O: 0.839 0.892 0.830
O: 0.847 0.894 0.339
O: 0.863 0.410 0.183
O: 0.984 0.760 0.098
O: 0.992 0.750 0.588



(4)
The following is a calculated X-ray diffraction stick pattern of Li9Mn2Co5O16. It was derived from a crystal structure in the Materials Project, relaxed with PBE+U, using Cu Kα (weighted mean of Kα1 and Kα2).

The 10 most intense peaks (10° ≤ 2θ ≤ 90°), by angle:
2θ (°), d/Å, I/Imax
18.23, 4.867, 100.0
35.77, 2.510, 27.4
36.04, 2.492, 12.2
37.47, 2.400, 10.8
43.21, 2.094, 56.5
43.73, 2.070, 25.7
47.52, 1.913, 8.6
56.90, 1.618, 9.5
62.82, 1.479, 14.4
63.49, 1.465, 13.8

Structural model:
Cell: 10.542 10.542 9.901 Å, 107.11 107.11 16.05°
Fractional coordinates of all 32 atoms:
Li: 0.000 0.000 0.000
Li: 0.126 0.126 0.610
Li: 0.261 0.261 0.240
Li: 0.376 0.376 0.884
Li: 0.501 0.501 0.489
Li: 0.625 0.625 0.108
Li: 0.759 0.759 0.761
Li: 0.817 0.817 0.053
Li: 0.880 0.880 0.359
Mn: 0.195 0.195 0.930
Mn: 0.690 0.690 0.427
Co: 0.058 0.058 0.300
Co: 0.319 0.319 0.554
Co: 0.430 0.430 0.172
Co: 0.565 0.565 0.805
Co: 0.940 0.940 0.688
O: 0.033 0.033 0.661
O: 0.099 0.099 0.946
O: 0.162 0.162 0.293
O: 0.221 0.221 0.565
O: 0.277 0.277 0.899
O: 0.353 0.353 0.217
O: 0.406 0.406 0.535
O: 0.472 0.472 0.829
O: 0.537 0.537 0.158
O: 0.604 0.604 0.455
O: 0.662 0.662 0.790
O: 0.716 0.716 0.066
O: 0.780 0.780 0.406
O: 0.847 0.847 0.702
O: 0.911 0.911 0.032
O: 0.977 0.977 0.337